# Sr2Gd2TlNi2O9
Calculated XRD peak list, copper Kα. Input: a crystal structure in Alexandria, relaxed with GGA+U.
Intensities are scaled so that the largest is 100.

```
16
Lattice="0.0000 14.8199 2.7009 2.6767 0.0000 2.7009 2.6767 14.8199 0.0000" Properties=species:S:1:pos:R:3 pbc="T T T"
Sr 2.6767 2.5233 2.7009
Sr 2.6767 27.1165 2.7009
Gd 2.6767 6.0338 2.7008
Gd 2.6767 23.6060 2.7008
Tl 2.6767 14.8199 2.8664
Ni 2.6767 10.4023 2.6959
Ni 2.6767 19.2375 2.6959
O 1.3409 4.4901 1.3477
O 2.6767 8.2654 2.6877
O 1.3358 10.3298 1.3477
O 2.6767 12.7063 2.6476
O 2.6767 16.9335 2.6476
O 4.0125 19.3100 4.0486
O 2.6767 21.3744 2.6877
O 4.0176 25.1497 4.0486
O 2.6767 14.8199 5.2116
```

Top 10 peaks for 2θ = 10–90°, most intense first:
d = 2.829 Å, 31.63°, I 100; d = 2.677 Å, 33.48°, I 34; d = 3.549 Å, 25.09°, I 34; d = 2.701 Å, 33.17°, I 34; d = 1.901 Å, 47.84°, I 32; d = 1.584 Å, 58.26°, I 29; d = 1.573 Å, 58.69°, I 18; d = 1.987 Å, 45.67°, I 13; d = 1.955 Å, 46.44°, I 13; d = 1.996 Å, 45.43°, I 12